This entry pairs a crystal structure of Pr2Ga4Pd3Au with its simulated X-ray diffraction stick pattern. Radiation: Cu Kα, 1.54184 Å. Structure: a cell relaxed with GGA-PBE.
Neutral-atom scattering factors, no anomalous dispersion.

```
Pr2Ga4Pd3Au
1.0
4.3397 0.0000 0.0000
0.0000 4.3397 0.0000
0.0000 0.0000 10.5845
Pr Ga Pd Au
2 4 3 1
direct
0.0000 0.5000 0.2419 Pr
0.5000 0.0000 0.7581 Pr
0.0000 0.0000 0.0000 Ga
0.0000 0.5000 0.6358 Ga
0.5000 0.0000 0.3642 Ga
0.5000 0.5000 0.0000 Ga
0.0000 0.5000 0.8711 Pd
0.5000 0.0000 0.1289 Pd
0.5000 0.5000 0.5000 Pd
0.0000 0.0000 0.5000 Au
```

Most intense lines, 5 to 70 degrees two-theta, in order of falling intensity:
- 33.76 deg, d = 2.655 Å, intensity 100.0
- 41.62 deg, d = 2.170 Å, intensity 57.8
- 32.71 deg, d = 2.738 Å, intensity 48.3
- 53.92 deg, d = 1.700 Å, intensity 23.2
- 45.24 deg, d = 2.004 Å, intensity 22.7
- 47.81 deg, d = 1.903 Å, intensity 21.8
- 60.32 deg, d = 1.534 Å, intensity 19.1
- 65.22 deg, d = 1.431 Å, intensity 16.9
- 60.54 deg, d = 1.529 Å, intensity 12.7
- 30.33 deg, d = 2.947 Å, intensity 11.6
- 8.35 deg, d = 10.585 Å, intensity 7.5
- 54.70 deg, d = 1.678 Å, intensity 6.1

This entry pairs a crystal structure of NaAlAgF6 with its simulated X-ray diffraction stick pattern. Radiation: Cu Kα, 1.54184 Å. Structure: a cell relaxed with GGA-PBE.
Neutral-atom scattering factors, no anomalous dispersion.

```
NaAlAgF6
1.0
4.9155 0.0000 0.0000
0.0000 4.9155 0.0000
0.0000 0.0000 9.7939
Na Al Ag F
2 2 2 12
direct
0.0000 0.0000 0.0000 Na
0.5000 0.5000 0.5000 Na
0.0000 0.0000 0.6637 Al
0.5000 0.5000 0.1637 Al
0.0000 0.0000 0.3267 Ag
0.5000 0.5000 0.8267 Ag
0.1789 0.1789 0.5264 F
0.1798 0.1798 0.8030 F
0.2358 0.2358 0.1646 F
0.2642 0.7358 0.6646 F
0.3202 0.6798 0.3030 F
0.3211 0.6789 0.0264 F
0.6789 0.3211 0.0264 F
0.6798 0.3202 0.3030 F
0.7358 0.2642 0.6646 F
0.7642 0.7642 0.1646 F
0.8202 0.8202 0.8030 F
0.8211 0.8211 0.5264 F
```

Most intense lines, 5 to 70 degrees two-theta, in order of falling intensity:
- 25.63 deg, d = 3.476 Å, intensity 100.0
- 20.21 deg, d = 4.393 Å, intensity 67.1
- 50.02 deg, d = 1.823 Å, intensity 63.3
- 32.94 deg, d = 2.719 Å, intensity 54.7
- 63.55 deg, d = 1.464 Å, intensity 28.9
- 42.13 deg, d = 2.145 Å, intensity 27.3
- 31.57 deg, d = 2.834 Å, intensity 27.0
- 41.08 deg, d = 2.197 Å, intensity 23.9
- 18.12 deg, d = 4.897 Å, intensity 21.7
- 52.67 deg, d = 1.738 Å, intensity 20.5
- 37.81 deg, d = 2.380 Å, intensity 19.0
- 62.90 deg, d = 1.477 Å, intensity 13.0

This entry pairs a crystal structure of TbNdDy2Tm5 with its simulated X-ray diffraction stick pattern. Radiation: Cu Kα, 1.54184 Å. Structure: a cell relaxed with GGA-PBE.
Neutral-atom scattering factors, no anomalous dispersion.

```
TbNdDy2Tm5
1.0
-4.4233 4.4233 7.3056
4.4233 -4.4233 7.3056
4.4233 4.4233 -7.3056
Tb Nd Dy Tm
2 2 4 10
direct
0.2500 0.7500 0.5000 Tb
0.7500 0.2500 0.5000 Tb
0.2500 0.2500 0.0000 Nd
0.7500 0.7500 0.0000 Nd
0.1132 0.6132 0.7264 Dy
0.3868 0.1132 0.5000 Dy
0.6132 0.8868 0.5000 Dy
0.8868 0.3868 0.2736 Dy
0.0000 0.0000 0.0000 Tm
0.0730 0.1623 0.5000 Tm
0.1623 0.6623 0.0893 Tm
0.3377 0.4270 0.5000 Tm
0.4270 0.9270 0.0893 Tm
0.5000 0.5000 0.0000 Tm
0.5730 0.0730 0.9107 Tm
0.6623 0.5730 0.5000 Tm
0.8377 0.3377 0.9107 Tm
0.9270 0.8377 0.5000 Tm
```

Most intense lines, 5 to 70 degrees two-theta, in order of falling intensity:
- 31.77 deg, d = 2.817 Å, intensity 100.0
- 28.54 deg, d = 3.128 Å, intensity 52.3
- 29.08 deg, d = 3.071 Å, intensity 50.2
- 37.16 deg, d = 2.420 Å, intensity 20.8
- 52.62 deg, d = 1.739 Å, intensity 18.7
- 42.59 deg, d = 2.123 Å, intensity 16.0
- 38.29 deg, d = 2.351 Å, intensity 15.7
- 31.99 deg, d = 2.798 Å, intensity 15.2
- 58.52 deg, d = 1.577 Å, intensity 13.1
- 34.33 deg, d = 2.613 Å, intensity 12.5
- 49.93 deg, d = 1.826 Å, intensity 12.3
- 46.24 deg, d = 1.964 Å, intensity 10.0

This entry pairs a crystal structure of Ce2YGa6 with its simulated X-ray diffraction stick pattern. Radiation: Cu Kα, 1.54184 Å. Structure: a cell relaxed with GGA-PBE.
Neutral-atom scattering factors, no anomalous dispersion.

```
Ce2YGa6
1.0
-2.2217 3.5406 6.5179
2.2217 -3.5406 6.5179
2.2217 3.5406 -6.5179
Ce Y Ga
2 1 6
direct
0.1066 0.1066 0.0000 Ce
0.8934 0.8934 0.0000 Ce
0.5000 0.0000 0.5000 Y
0.1157 0.3093 0.8064 Ga
0.2110 0.5000 0.7110 Ga
0.4971 0.6907 0.8064 Ga
0.5029 0.3093 0.1936 Ga
0.7890 0.5000 0.2890 Ga
0.8843 0.6907 0.1936 Ga
```

Most intense lines, 5 to 70 degrees two-theta, in order of falling intensity:
- 33.07 deg, d = 2.709 Å, intensity 100.0
- 40.10 deg, d = 2.249 Å, intensity 40.6
- 36.47 deg, d = 2.464 Å, intensity 38.1
- 40.61 deg, d = 2.222 Å, intensity 34.4
- 23.64 deg, d = 3.764 Å, intensity 27.9
- 36.73 deg, d = 2.447 Å, intensity 25.1
- 43.64 deg, d = 2.074 Å, intensity 24.6
- 14.23 deg, d = 6.222 Å, intensity 21.7
- 61.12 deg, d = 1.516 Å, intensity 17.6
- 55.90 deg, d = 1.645 Å, intensity 14.7
- 37.51 deg, d = 2.398 Å, intensity 12.3
- 28.70 deg, d = 3.110 Å, intensity 11.8